No. 1
Structure and simulated PXRD pattern of CsMgAsH12O10 (a crystal structure in Alexandria, relaxed with GGA-PBE; Cu Kα (λ = 1.5418 Å)).
Neutral-atom scattering factors, no anomalous dispersion.

Structure:
Cell lengths 7.2669, 7.2669, 7.2669 Å; angles 60.00, 60.00, 60.00 degrees
Positions (direct):
Cs 0.0000 0.0000 0.0000
Mg 0.2500 0.2500 0.2500
As 0.5000 0.5000 0.5000
H 0.1019 0.5110 0.5110
H 0.1019 0.5110 0.8761
H 0.1019 0.8761 0.5110
H 0.5110 0.1019 0.5110
H 0.5110 0.1019 0.8761
H 0.5110 0.5110 0.1019
H 0.5110 0.5110 0.8761
H 0.5110 0.8761 0.1019
H 0.5110 0.8761 0.5110
H 0.8761 0.1019 0.5110
H 0.8761 0.5110 0.1019
H 0.8761 0.5110 0.5110
O 0.0454 0.0454 0.4546
O 0.0454 0.4546 0.0454
O 0.0454 0.4546 0.4546
O 0.2089 0.5970 0.5970
O 0.4546 0.0454 0.0454
O 0.4546 0.0454 0.4546
O 0.4546 0.4546 0.0454
O 0.5970 0.2089 0.5970
O 0.5970 0.5970 0.2089
O 0.5970 0.5970 0.5970

The 10 most intense peaks (10° ≤ 2θ ≤ 90°), in order of rising 2θ:
17.26°, d 5.138, intensity 65; 24.50°, d 3.633, intensity 100; 30.12°, d 2.967, intensity 74; 34.92°, d 2.569, intensity 32; 39.20°, d 2.298, intensity 26; 43.12°, d 2.098, intensity 36; 50.22°, d 1.817, intensity 32; 53.50°, d 1.713, intensity 20; 56.64°, d 1.625, intensity 21; 68.30°, d 1.373, intensity 28

No. 2
Structure and simulated PXRD pattern of CsPmAgBr6 (a crystal structure in Alexandria, relaxed with GGA-PBE; Cu Kα (λ = 1.5418 Å)).
Neutral-atom scattering factors, no anomalous dispersion.

Structure:
Cell lengths 7.2405, 7.2466, 8.1360 Å; angles 92.64, 92.70, 114.93 degrees
Positions (direct):
Cs 0.0000 0.0000 0.0000
Pm 0.3385 0.6627 0.5000
Ag 0.6871 0.3155 0.4988
Br 0.0203 0.3505 0.6736
Br 0.0302 0.6047 0.2551
Br 0.3955 0.9694 0.7452
Br 0.4185 0.3616 0.2937
Br 0.6402 0.5822 0.7050
Br 0.6484 0.9805 0.3250

The 10 most intense peaks (10° ≤ 2θ ≤ 90°), in order of rising 2θ:
10.92°, d 8.105, intensity 79; 16.77°, d 5.288, intensity 67; 18.02°, d 4.922, intensity 60; 18.19°, d 4.877, intensity 66; 24.56°, d 3.625, intensity 42; 27.48°, d 3.246, intensity 53; 30.48°, d 2.933, intensity 58; 33.94°, d 2.642, intensity 100; 36.29°, d 2.476, intensity 33; 41.35°, d 2.184, intensity 51

Copy entry 1 word for word.
Structure and simulated PXRD pattern of CsMgAsH12O10 (a crystal structure in Alexandria, relaxed with GGA-PBE; Cu Kα (λ = 1.5418 Å)).
Neutral-atom scattering factors, no anomalous dispersion.

Structure:
Cell lengths 7.2669, 7.2669, 7.2669 Å; angles 60.00, 60.00, 60.00 degrees
Positions (direct):
Cs 0.0000 0.0000 0.0000
Mg 0.2500 0.2500 0.2500
As 0.5000 0.5000 0.5000
H 0.1019 0.5110 0.5110
H 0.1019 0.5110 0.8761
H 0.1019 0.8761 0.5110
H 0.5110 0.1019 0.5110
H 0.5110 0.1019 0.8761
H 0.5110 0.5110 0.1019
H 0.5110 0.5110 0.8761
H 0.5110 0.8761 0.1019
H 0.5110 0.8761 0.5110
H 0.8761 0.1019 0.5110
H 0.8761 0.5110 0.1019
H 0.8761 0.5110 0.5110
O 0.0454 0.0454 0.4546
O 0.0454 0.4546 0.0454
O 0.0454 0.4546 0.4546
O 0.2089 0.5970 0.5970
O 0.4546 0.0454 0.0454
O 0.4546 0.0454 0.4546
O 0.4546 0.4546 0.0454
O 0.5970 0.2089 0.5970
O 0.5970 0.5970 0.2089
O 0.5970 0.5970 0.5970

The 10 most intense peaks (10° ≤ 2θ ≤ 90°), in order of rising 2θ:
17.26°, d 5.138, intensity 65; 24.50°, d 3.633, intensity 100; 30.12°, d 2.967, intensity 74; 34.92°, d 2.569, intensity 32; 39.20°, d 2.298, intensity 26; 43.12°, d 2.098, intensity 36; 50.22°, d 1.817, intensity 32; 53.50°, d 1.713, intensity 20; 56.64°, d 1.625, intensity 21; 68.30°, d 1.373, intensity 28